Starting from a GGA-PBE-relaxed structure, the XRD peak list of La2Y7 was calculated for Cu Kα.
No peak broadening, texture or thermal motion is included.

```
data_La2Y7
_cell_length_a 6.2639
_cell_length_b 6.2639
_cell_length_c 8.8262
_cell_angle_alpha 90.00
_cell_angle_beta 90.00
_cell_angle_gamma 120.00
_symmetry_space_group_name_H-M 'P -3 1 m'
_symmetry_Int_Tables_number 162
_symmetry_space_group_name_Hall '-P 3 2'
loop_
_atom_site_label
_atom_site_fract_x
_atom_site_fract_y
_atom_site_fract_z
La1 0.3333 0.6667 0.0000
Y1 0.0000 0.0000 0.0000
Y2 0.0000 0.3323 0.6627
```

Largest 6 diffraction maxima, in order of rising 2θ, 10° ≤ 2θ ≤ 90°:
d = 2.952 Å, intensity 100, (1 1 1); d = 2.942 Å, intensity 33, (0 0 3); d = 2.554 Å, intensity 66, (2 -1 2); d = 1.808 Å, intensity 23, (3 0 0); d = 1.804 Å, intensity 23, (1 1 4); d = 1.541 Å, intensity 41, (4 -2 1)